Structure and theoretical powder X-ray diffraction pattern of FeNiMo3N (a structure optimized by DFT (PBE); Cu Ka).

The 10 most intense peaks (10 to 90 degrees two-theta), by intensity:
40.7 deg, I = 100, hkl 2 2 1
43.0 deg, I = 57, hkl 3 0 1
45.2 deg, I = 27, hkl 3 1 1
72.4 deg, I = 23, hkl 4 3 1
77.2 deg, I = 20, hkl 5 0 2
58.9 deg, I = 8, hkl 4 1 1
86.6 deg, I = 8, hkl 5 1 3
88.1 deg, I = 7, hkl 4 4 2
30.0 deg, I = 7, hkl 2 1 0
62.4 deg, I = 7, hkl 4 0 2

Structural model:
```
FeNiMo3N
1.0
6.6532 0.0000 0.0000
0.0000 6.6532 0.0000
0.0000 0.0000 6.6532
Fe Ni Mo N
4 4 12 4
Cartesian
1.1864 1.1864 1.1864
2.1403 5.4669 4.5130
4.5130 2.1403 5.4669
5.4669 4.5130 2.1403
0.4342 6.2190 2.8924
2.8924 0.4342 6.2190
3.7609 3.7609 3.7609
6.2190 2.8924 0.4342
0.3107 0.8528 5.3391
0.8528 5.3391 0.3107
1.3141 3.6373 2.4739
2.0125 3.0160 5.8005
2.4739 1.3141 3.6373
3.0160 5.8005 2.0125
3.6373 2.4739 1.3141
4.1794 4.6408 6.3426
4.6408 6.3426 4.1794
5.3391 0.3107 0.8528
5.8005 2.0125 3.0160
6.3426 4.1794 4.6408
0.8337 2.4929 4.1603
2.4929 4.1603 0.8337
4.1603 0.8337 2.4929
5.8195 5.8195 5.8195
```